Simulated powder diffractogram of Pm10ErTm6 for Cu Kα X-rays, from the PBE geometry in Alexandria.

Peak list (8 most intense, 2θ from 10° to 90°, sorted by position)
| two_theta | d (Å) | I_rel | hkl |
| --- | --- | --- | --- |
| 30.91 | 2.893 | 40 | 3 -1 1 |
| 31.79 | 2.814 | 81 | 3 0 0 |
| 31.94 | 2.802 | 100 | 1 1 2 |
| 45.69 | 1.986 | 27 | 4 -2 2 |
| 48.86 | 1.864 | 13 | 3 2 1 |
| 56.71 | 1.623 | 26 | 4 1 2 |
| 57.00 | 1.616 | 19 | 2 -1 4 |
| 62.75 | 1.481 | 11 | 6 -1 1 |

Structural model:
Unit cell a=9.7496 b=9.7496 c=6.8496 alpha=90.00 beta=90.00 gamma=120.00
Space group P-31m (No. 162)
Inequivalent atoms, fractional coordinates:
Pm 0.0000 0.2755 0.3166
Pm 0.3333 0.6667 0.0000
Pm 0.3333 0.6667 0.5000
Er 0.0000 0.0000 0.0000
Tm 0.0000 0.3693 0.8122